(1)
This entry pairs a crystal structure of VCrMo14 with its simulated powder diffractogram. Radiation: Cu Ka. Structure: a structure optimized by DFT (PBE).

Largest 6 diffraction maxima, in order of rising 2θ, 5° ≤ 2θ ≤ 70°:
two_theta, I (rel.), h k l
14.10, 1, 0 0 1
19.99, 1, 1 1 0
24.54, 1, 1 1 1
31.85, 1, 2 0 1
40.62, 100, 2 2 0
58.79, 16, 4 0 0

Crystal structure
a = 6.282 Å, b = 6.282 Å, c = 6.283 Å
α = 90.00°, β = 90.00°, γ = 90.00°
Space group P4/mmm (No. 123)
Inequivalent atoms, fractional coordinates:
V1 0.000 0.000 0.000
Cr1 0.500 0.500 0.000
Mo1 0.000 0.000 0.500
Mo2 0.000 0.500 0.000
Mo3 0.000 0.500 0.500
Mo4 0.251 0.251 0.247
Mo5 0.500 0.500 0.500

=====

(2)
This entry pairs a crystal structure of Ac3Pm6Pr with its simulated powder diffractogram. Radiation: Cu Ka. Structure: a structure optimized by DFT (PBE).

Largest 6 diffraction maxima, in order of rising 2θ, 5° ≤ 2θ ≤ 70°:
two_theta, I (rel.), h k l
27.11, 58, 1 1 3
29.50, 24, 1 0 4
30.27, 100, 3 0 0
38.79, 23, 3 -1 4
51.87, 19, 4 1 3
53.78, 20, 3 3 0

Crystal structure
a = 10.2273 Å, b = 10.2273 Å, c = 12.8906 Å
α = 90.00°, β = 90.00°, γ = 120.00°
Space group R-3 (No. 148, hexagonal axes)
Inequivalent atoms, fractional coordinates:
Ac1 0.0000 0.0000 0.0000
Ac2 0.0000 0.0000 0.2587
Pm1 0.0012 0.6708 0.4239
Pr1 0.0000 0.0000 0.5000

=====

Copy entry 2 word for word.
This entry pairs a crystal structure of Ac3Pm6Pr with its simulated powder diffractogram. Radiation: Cu Ka. Structure: a structure optimized by DFT (PBE).

Largest 6 diffraction maxima, in order of rising 2θ, 5° ≤ 2θ ≤ 70°:
two_theta, I (rel.), h k l
27.11, 58, 1 1 3
29.50, 24, 1 0 4
30.27, 100, 3 0 0
38.79, 23, 3 -1 4
51.87, 19, 4 1 3
53.78, 20, 3 3 0

Crystal structure
a = 10.2273 Å, b = 10.2273 Å, c = 12.8906 Å
α = 90.00°, β = 90.00°, γ = 120.00°
Space group R-3 (No. 148, hexagonal axes)
Inequivalent atoms, fractional coordinates:
Ac1 0.0000 0.0000 0.0000
Ac2 0.0000 0.0000 0.2587
Pm1 0.0012 0.6708 0.4239
Pr1 0.0000 0.0000 0.5000